This entry pairs a crystal structure of Ho2Cd2Pt3 with its simulated XRD peak list. Radiation: Cu Kα (weighted mean of Kα1 and Kα2). Structure: a structure optimized by DFT (PBE).
Peak positions follow from Bragg's law for the DFT cell and can differ from measured ones.

```
7
Lattice="4.8235 0.0000 0.0000 2.4003 4.1854 0.0000 2.3884 1.4041 7.3896" Properties=species:S:1:pos:R:3 pbc="T T T"
Ho 1.2019 0.7005 1.1486
Ho 8.4104 4.8890 6.2410
Cd 3.6073 2.0925 2.8897
Cd 6.0049 3.4970 4.4999
Pt 3.5990 2.0984 5.6588
Pt 3.6119 2.0927 0.0000
Pt 6.0132 3.4911 1.7309
```

Top 6 peaks for 10° ≤ 2θ ≤ 90°, sorted by position:
| Position (°2θ) | I_rel |
| --- | --- |
| 11.98 | 26.4 |
| 29.36 | 15.2 |
| 37.23 | 84.9 |
| 37.28 | 42.3 |
| 38.99 | 100.0 |
| 68.34 | 26.2 |